No. 1
The following is a computed powder X-ray diffraction pattern of RbDySn2F8. It was derived from a DFT-relaxed cell (GGA-PBE, Alexandria), using Cu Kα, 1.54184 Å.
Lines closer than 0.1° are merged.

Crystal structure
```
RbDySn2F8
1.0
6.223 0.000 0.000
0.000 4.207 0.000
-0.883 0.000 8.423
Rb Dy Sn F
1 1 2 8
Direct
0.000 0.000 0.000
0.000 0.000 0.500
0.464 0.500 0.750
0.536 0.500 0.250
0.184 0.500 0.557
0.205 0.000 0.310
0.278 0.500 0.944
0.286 0.000 0.713
0.714 0.000 0.287
0.722 0.500 0.056
0.795 0.000 0.690
0.816 0.500 0.443
```

The 10 most intense peaks (2θ = 5–70°), low angle first:
16.87°, I = 20
24.29°, I = 58
25.60°, I = 100
26.82°, I = 49
30.02°, I = 38
40.47°, I = 35
42.98°, I = 38
43.72°, I = 40
49.22°, I = 33
51.38°, I = 22

No. 2
The following is a computed powder X-ray diffraction pattern of Dy4Se5F2. It was derived from a DFT-relaxed cell (GGA-PBE, Alexandria), using Cu Kα, 1.54184 Å.
Lines closer than 0.1° are merged.

Crystal structure
```
Dy4Se5F2
1.0
8.669 -2.018 0.000
8.669 2.018 0.000
-1.838 0.000 7.669
Dy Se F
4 5 2
Direct
0.017 0.017 0.259
0.290 0.290 0.787
0.710 0.710 0.213
0.983 0.983 0.741
0.150 0.150 0.943
0.173 0.173 0.434
0.500 0.500 0.500
0.827 0.827 0.566
0.850 0.850 0.057
0.447 0.447 0.843
0.553 0.553 0.157
```

The 10 most intense peaks (2θ = 5–70°), low angle first:
17.35°, I = 52
21.08°, I = 36
22.65°, I = 38
28.11°, I = 39
31.72°, I = 56
33.46°, I = 100
36.53°, I = 36
38.48°, I = 81
43.76°, I = 38
44.91°, I = 44